AcVMoO6: calculated X-ray diffraction stick pattern (Cu Kα (weighted mean of Kα1 and Kα2)), based on DFT lattice parameters and positions (GGA+U).
No peak broadening, texture or thermal motion is included.

Most intense lines, 10 to 90 degrees two-theta, sorted by position:
4.507 Å, rel. 32, hkl 1 1 0
3.531 Å, rel. 93, hkl 0 2 1
3.507 Å, rel. 100, hkl 1 1 -1
3.394 Å, rel. 91, hkl 1 1 1
2.674 Å, rel. 75, hkl 1 3 0
2.569 Å, rel. 24, hkl 2 0 0
2.150 Å, rel. 26, hkl 0 4 1
1.911 Å, rel. 38, hkl 1 3 -2
1.874 Å, rel. 24, hkl 1 3 2
1.681 Å, rel. 23, hkl 1 5 -1

Cell and atoms:
Cell lengths 5.1424, 9.3865, 5.3625 Å; angles 90.00, 92.17, 90.00 degrees
Space group C2 (No. 5)
Asymmetric unit:
Ac: 0.0000 0.0000 0.0000 [2 per cell]
V: 0.0000 0.3438 0.5000 [2 per cell]
Mo: 0.0000 0.6642 0.5000 [2 per cell]
O: 0.1210 0.5023 0.2914 [4 per cell]
O: 0.1903 0.1920 0.2936 [4 per cell]
O: 0.1962 0.8195 0.2984 [4 per cell]